Calculated X-ray diffraction stick pattern of Li3BiS3 for copper Kα, from a PBE-relaxed structure.
No peak broadening, texture or thermal motion is included.

Structural model:
```
28
Lattice="8.139 0.000 0.000 0.000 8.139 0.000 0.000 0.000 8.139" Properties=species:S:1:pos:R:3 pbc="T T T"
Li 0.250 0.250 0.250
Li 1.459 2.610 5.529
Li 1.661 5.731 6.478
Li 2.409 2.409 2.409
Li 2.610 5.529 1.459
Li 3.819 7.889 4.320
Li 4.320 3.819 7.889
Li 5.529 1.459 2.610
Li 5.731 6.478 1.661
Li 6.478 1.661 5.731
Li 6.680 6.680 6.680
Li 7.889 4.320 3.819
Bi 0.615 7.525 3.455
Bi 3.455 0.615 7.525
Bi 4.684 4.684 4.684
Bi 7.525 3.455 0.615
S 0.048 6.116 1.001
S 1.001 0.048 6.116
S 2.023 5.071 4.022
S 2.046 3.069 8.092
S 3.069 8.092 2.046
S 4.022 2.023 5.071
S 4.117 6.093 7.138
S 5.071 4.022 2.023
S 6.093 7.138 4.117
S 6.116 1.001 0.048
S 7.138 4.117 6.093
S 8.092 2.046 3.069
```

Largest 12 diffraction maxima, sorted by position, 2θ from 5° to 70°:
2θ/deg  d (Å)  Rel. int.
15.40  5.755  68
18.88  4.699  88
21.84  4.070  33
24.45  3.640  100
33.02  2.713  33
34.86  2.574  89
39.94  2.257  27
41.51  2.175  83
45.97  1.974  40
57.76  1.596  28
58.97  1.566  19
61.34  1.511  18



Calculated X-ray diffraction stick pattern of Hg4SI2Cl4 for copper Kα, from a PBE-relaxed structure.
No peak broadening, texture or thermal motion is included.

Structural model:
```
22
Lattice="8.202 0.000 0.000 0.000 6.678 0.000 -4.062 0.000 20.727" Properties=species:S:1:pos:R:3 pbc="T T T"
Hg -0.868 0.137 6.612
Hg -2.899 3.202 16.975
Hg 1.197 1.661 11.684
Hg 3.228 1.678 1.320
Hg 0.912 5.000 19.406
Hg 2.943 5.017 9.043
Hg 7.038 3.476 3.752
Hg 5.007 6.541 14.115
S 4.101 0.000 0.000
S 2.070 3.339 10.363
I 2.209 3.523 2.865
I 0.178 6.494 13.228
I 3.962 0.184 7.499
I 1.930 3.155 17.862
Cl -0.542 3.662 5.995
Cl -2.573 6.355 16.359
Cl -2.080 3.377 19.126
Cl -0.048 6.640 8.763
Cl 4.188 0.038 11.964
Cl 6.219 3.301 1.600
Cl 6.713 0.323 4.368
Cl 4.682 3.016 14.731
```

Largest 12 diffraction maxima, sorted by position, 2θ from 5° to 70°:
2θ/deg  d (Å)  Rel. int.
12.56  7.047  44
13.93  6.356  56
15.18  5.836  100
18.30  4.847  39
18.48  4.801  90
21.71  4.094  34
22.10  4.022  66
25.86  3.445  38
28.95  3.084  35
30.88  2.895  27
37.10  2.423  35
37.47  2.400  34



Calculated X-ray diffraction stick pattern of Na3MgBiO4 for copper Kα, from a PBE-relaxed structure.
No peak broadening, texture or thermal motion is included.

Structural model:
```
9
Lattice="6.240 0.000 0.000 0.000 3.512 0.000 -0.283 0.000 6.833" Properties=species:S:1:pos:R:3 pbc="T T T"
Na 0.000 0.000 0.000
Na 0.889 1.756 2.704
Na 2.915 0.000 1.309
Mg 4.372 0.000 3.895
Bi 2.429 1.756 5.376
O 1.499 1.756 0.409
O 2.303 0.000 3.603
O 3.848 0.000 5.995
O 5.005 1.756 3.399
```

Largest 12 diffraction maxima, sorted by position, 2θ from 5° to 70°:
2θ/deg  d (Å)  Rel. int.
12.96  6.833  94
14.21  6.234  100
18.87  4.704  29
19.67  4.513  52
28.60  3.121  44
29.22  3.056  52
30.35  2.945  25
31.04  2.881  22
31.80  2.814  42
32.30  2.772  36
36.70  2.449  25
41.30  2.186  32



Calculated X-ray diffraction stick pattern of Fe4Si for copper Kα, from a PBE-relaxed structure.
No peak broadening, texture or thermal motion is included.

Structural model:
```
5
Lattice="0.000 2.028 9.466 1.522 0.000 9.466 1.522 2.028 0.000" Properties=species:S:1:pos:R:3 pbc="T T T"
Fe 1.522 2.028 1.781
Fe 1.522 2.028 5.718
Fe 1.522 2.028 13.214
Fe 1.522 2.028 17.152
Si 1.522 2.028 9.466
```

Largest 12 diffraction maxima, sorted by position, 2θ from 5° to 70°:
2θ/deg  d (Å)  Rel. int.
9.34  9.466  5
18.75  4.733  2
28.28  3.155  2
37.24  2.414  2
38.02  2.367  3
39.68  2.271  4
44.23  2.048  100
44.69  2.028  25
48.06  1.893  18
60.09  1.540  1
60.87  1.522  9
67.71  1.384  12



Calculated X-ray diffraction stick pattern of BeGa2O4 for copper Kα, from a PBE-relaxed structure.
No peak broadening, texture or thermal motion is included.

Structural model:
```
28
Lattice="5.142 0.000 0.000 0.000 5.884 0.000 -0.191 0.000 10.668" Properties=species:S:1:pos:R:3 pbc="T T T"
Be 0.846 0.000 1.725
Be 0.759 5.716 7.175
Be 4.191 2.774 3.493
Be 4.104 2.942 8.943
Ga 0.770 1.140 4.506
Ga 1.594 2.983 2.010
Ga 1.491 4.264 9.831
Ga 1.567 2.725 7.214
Ga 3.383 5.667 3.454
Ga 3.459 1.322 0.837
Ga 3.356 0.041 8.657
Ga 4.180 4.082 6.162
O 0.710 2.814 3.507
O 0.623 2.974 8.853
O 0.933 4.200 6.307
O 1.261 4.476 0.949
O 1.269 1.132 6.285
O 1.538 1.295 0.987
O 1.518 5.836 3.285
O 1.462 5.765 8.569
O 3.488 2.823 2.099
O 3.432 2.894 7.383
O 3.412 4.237 9.681
O 3.681 4.074 4.383
O 3.689 1.534 9.719
O 4.017 1.258 4.361
O 4.327 0.032 1.815
O 4.240 5.756 7.161
```

Largest 12 diffraction maxima, sorted by position, 2θ from 5° to 70°:
2θ/deg  d (Å)  Rel. int.
17.22  5.149  26
22.50  3.952  29
22.97  3.871  27
24.35  3.655  47
24.57  3.623  31
28.68  3.113  47
29.35  3.043  39
34.86  2.574  100
38.24  2.353  23
38.97  2.311  18
50.37  1.812  19
60.88  1.522  24



Calculated X-ray diffraction stick pattern of CsSnI3 for copper Kα, from a PBE-relaxed structure.
No peak broadening, texture or thermal motion is included.

Structural model:
```
20
Lattice="8.733 0.000 0.000 0.000 12.663 0.000 0.000 0.000 8.872" Properties=species:S:1:pos:R:3 pbc="T T T"
Cs 0.041 3.166 0.207
Cs 4.326 9.497 4.643
Cs 4.407 3.166 4.229
Cs 8.692 9.497 8.665
Sn 0.000 0.000 4.436
Sn 0.000 6.332 4.436
Sn 4.367 0.000 0.000
Sn 4.367 6.332 0.000
I 0.023 9.497 4.613
I 1.774 0.096 7.065
I 1.774 6.236 7.065
I 2.593 6.427 2.629
I 2.593 12.567 2.629
I 4.343 3.166 0.177
I 4.390 9.497 8.695
I 6.140 0.096 6.243
I 6.140 6.236 6.243
I 6.959 6.427 1.807
I 6.959 12.567 1.807
I 8.710 3.166 4.259
```

Largest 12 diffraction maxima, sorted by position, 2θ from 5° to 70°:
2θ/deg  d (Å)  Rel. int.
14.23  6.224  16
20.01  4.438  28
24.50  3.633  57
24.77  3.595  58
26.57  3.354  15
26.76  3.332  15
28.19  3.166  69
28.69  3.112  100
35.02  2.562  19
40.66  2.219  89
50.80  1.797  15
66.24  1.411  18



Calculated X-ray diffraction stick pattern of Na5Sn2 for copper Kα, from a PBE-relaxed structure.
No peak broadening, texture or thermal motion is included.

Structural model:
```
7
Lattice="2.738 1.581 7.583 -2.738 1.581 7.583 0.000 -3.161 7.583" Properties=species:S:1:pos:R:3 pbc="T T T"
Na 0.000 0.000 0.000
Na 0.000 0.000 3.353
Na 0.000 0.000 6.535
Na 0.000 0.000 16.213
Na 0.000 0.000 19.395
Sn 0.000 0.000 9.868
Sn 0.000 0.000 12.880
```

Largest 12 diffraction maxima, sorted by position, 2θ from 5° to 70°:
2θ/deg  d (Å)  Rel. int.
19.12  4.642  88
20.29  4.376  41
32.71  2.738  100
33.43  2.681  91
36.86  2.439  23
38.17  2.358  16
40.65  2.219  17
47.47  1.915  34
51.13  1.787  14
58.39  1.581  19
58.85  1.569  35
60.20  1.537  14



Calculated X-ray diffraction stick pattern of Li4CO4 for copper Kα, from a PBE-relaxed structure.
No peak broadening, texture or thermal motion is included.

Structural model:
```
18
Lattice="5.890 0.000 0.000 0.000 5.076 0.000 0.000 0.000 4.884" Properties=species:S:1:pos:R:3 pbc="T T T"
Li 0.000 0.420 0.000
Li 0.000 0.480 2.400
Li 1.180 2.887 0.564
Li 1.765 2.189 3.006
Li 2.945 4.595 4.843
Li 2.945 4.656 2.442
Li 4.125 2.189 3.006
Li 4.710 2.887 0.564
C 0.000 3.500 3.340
C 2.945 1.576 0.897
O 0.000 2.135 3.850
O 0.000 3.506 1.960
O 1.162 4.154 3.846
O 1.783 0.922 1.404
O 2.945 1.570 4.402
O 2.945 2.940 1.408
O 4.107 0.922 1.404
O 4.728 4.154 3.846
```

Largest 12 diffraction maxima, sorted by position, 2θ from 5° to 70°:
2θ/deg  d (Å)  Rel. int.
17.47  5.076  21
23.13  3.845  85
23.66  3.760  100
25.31  3.519  53
35.23  2.547  16
36.80  2.442  30
39.91  2.259  83
40.04  2.252  59
51.86  1.763  35
53.44  1.715  19
54.42  1.686  16
63.43  1.467  15



Q: What is the formula in the first record?
A: Li3BiS3